The following is a calculated powder XRD pattern of Ba4Nd2Cu6NiO15. It was derived from the PBE+U geometry in Alexandria, using copper Kα.
No peak broadening, texture or thermal motion is included.

Principal peaks in the range 2θ = 10–80°, low angle first:
- 32.28°, I = 100
- 32.56°, I = 92
- 32.70°, I = 93
- 39.03°, I = 16
- 46.08°, I = 30
- 46.51°, I = 29
- 57.64°, I = 37
- 57.92°, I = 35
- 58.45°, I = 30
- 67.55°, I = 18

Structural model:
```
Ba4Nd2Cu6NiO15
1.0
-1.9524 1.9700 24.9684
1.9524 -1.9700 24.9684
1.9524 1.9700 -24.9684
Ba Nd Cu Ni O
4 2 6 1 15
Cartesian
0.0000 0.0000 0.0000
0.0000 0.0000 4.2528
0.0000 0.0000 11.8249
0.0000 0.0000 42.3869
0.0000 0.0000 8.0602
0.0000 0.0000 46.1142
0.0000 0.0000 15.2258
0.0000 0.0000 22.9850
0.0000 0.0000 27.1020
0.0000 0.0000 31.2216
0.0000 0.0000 34.8725
0.0000 0.0000 38.9930
0.0000 0.0000 19.2585
1.9524 0.0000 2.1420
1.9524 0.0000 6.5604
1.9524 0.0000 9.6184
1.9524 0.0000 14.8037
0.0000 0.0000 17.2351
1.9524 0.0000 19.6579
1.9524 0.0000 22.6937
0.0000 0.0000 25.2294
0.0000 0.0000 28.9791
0.0000 1.9700 6.5539
0.0000 1.9700 9.5924
0.0000 0.0000 37.0190
0.0000 1.9700 14.4447
0.0000 1.9700 19.6312
0.0000 1.9700 22.6834
```